1.
The following is a computed X-ray powder pattern of Ba2In13Ir4. It was derived from a crystal structure in OQMD, relaxed with PBE, using copper Kα.

Structural model:
```
data_Ba2In13Ir4
_chemical_formula_sum 'Ba8 In52 Ir16'
_cell_length_a 4.519
_cell_length_b 29.348
_cell_length_c 13.837
_cell_angle_alpha 90.00
_cell_angle_beta 90.00
_cell_angle_gamma 90.00
_space_group_name_H-M_alt 'C m c 21'
_space_group_IT_number 36
loop_
_space_group_symop_operation_xyz
'x,y,z'
'-x,-y,z+1/2'
'-x,y,z'
'x,-y,z+1/2'
'x+1/2,y+1/2,z'
'-x+1/2,-y+1/2,z+1/2'
'-x+1/2,y+1/2,z'
'x+1/2,-y+1/2,z+1/2'
loop_
_atom_site_label
_atom_site_type_symbol
_atom_site_fract_x
_atom_site_fract_y
_atom_site_fract_z
Ba1 Ba 0.000 0.040 0.000
Ba2 Ba 0.000 0.248 0.322
In1 In 0.000 0.003 0.253
In2 In 0.000 0.115 0.499
In3 In 0.000 0.147 0.164
In4 In 0.000 0.156 0.821
In5 In 0.000 0.275 0.606
In6 In 0.000 0.285 0.016
In7 In 0.000 0.349 0.836
In8 In 0.000 0.360 0.166
In9 In 0.000 0.363 0.486
In10 In 0.000 0.428 0.678
In11 In 0.000 0.432 0.323
In12 In 0.000 0.455 0.896
In13 In 0.000 0.464 0.107
Ir1 Ir 0.000 0.082 0.692
Ir2 Ir 0.000 0.089 0.312
Ir3 Ir 0.000 0.185 0.629
Ir4 Ir 0.000 0.191 0.999
```

Main lines, most intense first (2θ = 10–90°):
two_theta	intensity
39.26	100
31.63	72
39.90	52
29.78	41
39.06	38
57.07	25
14.15	20
72.03	18
32.75	16
20.18	15

2.
The following is a computed X-ray powder pattern of Ba2In4IrPd. It was derived from a crystal structure in OQMD, relaxed with PBE, using copper Kα.

Structural model:
```
data_Ba2In4IrPd
_chemical_formula_sum 'Ba4 In8 Ir2 Pd2'
_cell_length_a 8.161
_cell_length_b 4.547
_cell_length_c 11.674
_cell_angle_alpha 90.00
_cell_angle_beta 90.00
_cell_angle_gamma 90.00
_space_group_name_H-M_alt 'A m m 2'
_space_group_IT_number 38
loop_
_space_group_symop_operation_xyz
'x,y,z'
'-x,-y,z'
'-x,y,z'
'x,-y,z'
'x,y+1/2,z+1/2'
'-x,-y+1/2,z+1/2'
'-x,y+1/2,z+1/2'
'x,-y+1/2,z+1/2'
loop_
_atom_site_label
_atom_site_type_symbol
_atom_site_fract_x
_atom_site_fract_y
_atom_site_fract_z
Ba1 Ba 0.000 0.000 0.000
Ba2 Ba 0.500 0.000 0.108
In1 In 0.198 0.000 0.716
In2 In 0.309 0.000 0.390
Ir1 Ir 0.500 0.000 0.834
Pd1 Pd 0.000 0.000 0.275
```

Main lines, most intense first (2θ = 10–90°):
two_theta	intensity
30.41	100
32.20	83
39.36	62
32.58	60
39.64	53
15.18	45
30.23	42
37.57	34
52.22	31
45.30	28

3.
The following is a computed X-ray powder pattern of Ba2In3SnIr2. It was derived from a crystal structure in OQMD, relaxed with PBE, using copper Kα.

Structural model:
```
data_Ba2In3SnIr2
_chemical_formula_sum 'Ba4 In6 Sn2 Ir4'
_cell_length_a 11.681
_cell_length_b 4.512
_cell_length_c 8.063
_cell_angle_alpha 90.00
_cell_angle_beta 90.24
_cell_angle_gamma 90.00
_space_group_name_H-M_alt 'C 1 m 1'
_space_group_IT_number 8
loop_
_space_group_symop_operation_xyz
'x,y,z'
'x,-y,z'
'x+1/2,y+1/2,z'
'x+1/2,-y+1/2,z'
loop_
_atom_site_label
_atom_site_type_symbol
_atom_site_fract_x
_atom_site_fract_y
_atom_site_fract_z
Ba1 Ba 0.000 0.000 0.000
Ba2 Ba 0.109 0.000 0.502
In1 In 0.215 0.500 0.811
In2 In 0.221 0.500 0.200
In3 In 0.391 0.000 0.306
Sn1 Sn 0.389 0.000 0.696
Ir1 Ir 0.275 0.000 0.998
Ir2 Ir 0.338 0.500 0.510
```

Main lines, most intense first (2θ = 10–90°):
two_theta	intensity
32.33	100
39.79	76
32.61	71
15.17	69
39.96	58
30.73	53
30.68	46
52.50	37
30.32	32
37.87	24

4.
The following is a computed X-ray powder pattern of BaLaIn4Pd2. It was derived from a crystal structure in OQMD, relaxed with PBE, using copper Kα.

Structural model:
```
data_BaLaIn4Pd2
_chemical_formula_sum 'Ba2 La2 In8 Pd4'
_cell_length_a 7.990
_cell_length_b 4.648
_cell_length_c 10.977
_cell_angle_alpha 90.00
_cell_angle_beta 90.00
_cell_angle_gamma 90.00
_space_group_name_H-M_alt 'A m m 2'
_space_group_IT_number 38
loop_
_space_group_symop_operation_xyz
'x,y,z'
'-x,-y,z'
'-x,y,z'
'x,-y,z'
'x,y+1/2,z+1/2'
'-x,-y+1/2,z+1/2'
'-x,y+1/2,z+1/2'
'x,-y+1/2,z+1/2'
loop_
_atom_site_label
_atom_site_type_symbol
_atom_site_fract_x
_atom_site_fract_y
_atom_site_fract_z
Ba1 Ba 0.000 0.000 0.000
La1 La 0.500 0.000 0.133
In1 In 0.203 0.000 0.714
In2 In 0.309 0.000 0.418
Pd1 Pd 0.000 0.000 0.281
Pd2 Pd 0.500 0.000 0.851
```

Main lines, most intense first (2θ = 10–90°):
two_theta	intensity
30.61	100
33.11	71
39.86	48
38.75	45
34.56	37
38.58	31
31.11	28
37.54	25
52.88	21
62.51	21

5.
The following is a computed X-ray powder pattern of BaMg4InPd2. It was derived from a crystal structure in OQMD, relaxed with PBE, using copper Kα.

Structural model:
```
data_BaMg4InPd2
_chemical_formula_sum 'Ba2 Mg8 In2 Pd4'
_cell_length_a 5.907
_cell_length_b 3.090
_cell_length_c 62.167
_cell_angle_alpha 90.00
_cell_angle_beta 90.00
_cell_angle_gamma 90.00
_space_group_name_H-M_alt 'A m m 2'
_space_group_IT_number 38
loop_
_space_group_symop_operation_xyz
'x,y,z'
'-x,-y,z'
'-x,y,z'
'x,-y,z'
'x,y+1/2,z+1/2'
'-x,-y+1/2,z+1/2'
'-x,y+1/2,z+1/2'
'x,-y+1/2,z+1/2'
loop_
_atom_site_label
_atom_site_type_symbol
_atom_site_fract_x
_atom_site_fract_y
_atom_site_fract_z
Ba1 Ba 0.000 0.000 0.000
Mg1 Mg 0.252 0.000 0.453
Mg2 Mg 0.258 0.000 0.735
In1 In 0.000 0.000 0.078
Pd1 Pd 0.000 0.000 0.542
Pd2 Pd 0.000 0.000 0.767
```

Main lines, most intense first (2θ = 10–90°):
two_theta	intensity
15.00	100
16.05	95
15.27	46
35.24	45
37.87	45
31.70	34
34.57	28
46.59	26
44.40	21
30.82	21

6.
The following is a computed X-ray powder pattern of Ba2InTcN6. It was derived from a crystal structure in OQMD, relaxed with PBE, using copper Kα.

Structural model:
```
data_Ba2InTcN6
_chemical_formula_sum 'Ba2 In1 Tc1 N6'
_cell_length_a 5.910
_cell_length_b 5.917
_cell_length_c 5.917
_cell_angle_alpha 60.03
_cell_angle_beta 60.05
_cell_angle_gamma 89.94
_space_group_name_H-M_alt 'P -1'
_space_group_IT_number 2
loop_
_space_group_symop_operation_xyz
'x,y,z'
'-x,-y,-z'
loop_
_atom_site_label
_atom_site_type_symbol
_atom_site_fract_x
_atom_site_fract_y
_atom_site_fract_z
Ba1 Ba 0.250 0.250 0.000
In1 In 0.000 0.500 0.500
Tc1 Tc 0.500 0.000 0.500
N1 N 0.263 0.233 0.502
N2 N 0.266 0.764 0.970
N3 N 0.266 0.765 0.499
```

Main lines, most intense first (2θ = 10–90°):
two_theta	intensity
30.20	100
53.62	23
43.21	18
53.70	16
62.84	11
43.30	9
87.23	9
87.12	8
71.16	6
71.28	6

7.
The following is a computed X-ray powder pattern of BaNd3In4. It was derived from a crystal structure in OQMD, relaxed with PBE, using copper Kα.

Structural model:
```
data_BaNd3In4
_chemical_formula_sum 'Ba2 Nd6 In8'
_cell_length_a 8.855
_cell_length_b 8.855
_cell_length_c 6.784
_cell_angle_alpha 90.00
_cell_angle_beta 90.00
_cell_angle_gamma 90.00
_space_group_name_H-M_alt 'I -4 2 m'
_space_group_IT_number 121
_space_group_name_Hall 'I -4 2'
loop_
_atom_site_label
_atom_site_type_symbol
_atom_site_fract_x
_atom_site_fract_y
_atom_site_fract_z
Ba1 Ba 0.000 0.000 0.000
Nd1 Nd 0.000 0.000 0.500
Nd2 Nd 0.000 0.500 0.250
In1 In 0.239 0.239 0.347
```

Main lines, most intense first (2θ = 10–90°):
two_theta	intensity
28.51	100
29.96	85
41.83	68
40.76	37
59.83	22
58.25	21
73.52	20
51.40	18
66.82	16
67.59	16

8.
The following is a computed X-ray powder pattern of BaInNi5. It was derived from a crystal structure in OQMD, relaxed with PBE, using copper Kα.

Structural model:
```
data_BaInNi5
_chemical_formula_sum 'Ba6 In6 Ni30'
_cell_length_a 5.0331
_cell_length_b 5.0331
_cell_length_c 30.3947
_cell_angle_alpha 90.00
_cell_angle_beta 90.00
_cell_angle_gamma 120.00
_space_group_name_H-M_alt 'R -3 m'
_space_group_IT_number 166
_space_group_name_Hall '-R 3 2"'
loop_
_atom_site_label
_atom_site_type_symbol
_atom_site_fract_x
_atom_site_fract_y
_atom_site_fract_z
Ba1 Ba 0.0000 0.0000 0.0000
Ba2 Ba 0.0000 0.0000 0.5000
In1 In 0.0000 0.0000 0.1100
Ni1 Ni 0.0000 0.0000 0.2016
Ni2 Ni 0.0000 0.0000 0.3346
Ni3 Ni 0.0008 0.5004 0.0677
```

Main lines, most intense first (2θ = 10–90°):
two_theta	intensity
35.68	100
36.02	79
44.92	69
40.00	62
31.23	59
41.54	43
75.57	34
46.63	33
43.95	32
64.32	29

9.
The following is a computed X-ray powder pattern of Ba3In2TcO9. It was derived from a crystal structure in OQMD, relaxed with PBE, using copper Kα.

Structural model:
```
data_Ba3In2TcO9
_chemical_formula_sum 'Ba3 In2 Tc1 O9'
_cell_length_a 5.8957
_cell_length_b 5.8957
_cell_length_c 7.2173
_cell_angle_alpha 90.00
_cell_angle_beta 90.00
_cell_angle_gamma 120.00
_space_group_name_H-M_alt 'P -3 m 1'
_space_group_IT_number 164
_space_group_name_Hall '-P 3 2"'
loop_
_atom_site_label
_atom_site_type_symbol
_atom_site_fract_x
_atom_site_fract_y
_atom_site_fract_z
Ba1 Ba 0.0000 0.0000 0.0000
Ba2 Ba 0.3333 0.6667 0.6830
In1 In 0.3333 0.6667 0.1671
Tc1 Tc 0.0000 0.0000 0.5000
O1 O 0.0000 0.5000 0.0000
O2 O 0.1562 0.3124 0.3468
```

Main lines, most intense first (2θ = 10–90°):
two_theta	intensity
30.33	100
53.88	39
43.42	30
87.58	20
63.08	18
71.59	17
79.69	6
37.37	3
75.67	1
41.49	1

10.
The following is a computed X-ray powder pattern of Ba2InOsS6. It was derived from a crystal structure in OQMD, relaxed with PBE, using copper Kα.

Structural model:
```
data_Ba2InOsS6
_chemical_formula_sum 'Ba4 In2 Os2 S12'
_cell_length_a 11.866
_cell_length_b 6.747
_cell_length_c 7.359
_cell_angle_alpha 90.00
_cell_angle_beta 125.59
_cell_angle_gamma 90.00
_space_group_name_H-M_alt 'C 1 2/m 1'
_space_group_IT_number 12
loop_
_space_group_symop_operation_xyz
'x,y,z'
'-x,-y,-z'
'-x,y,-z'
'x,-y,z'
'x+1/2,y+1/2,z'
'-x+1/2,-y+1/2,-z'
'-x+1/2,y+1/2,-z'
'x+1/2,-y+1/2,z'
loop_
_atom_site_label
_atom_site_type_symbol
_atom_site_fract_x
_atom_site_fract_y
_atom_site_fract_z
Ba1 Ba 0.249 0.000 0.248
In1 In 0.000 0.000 0.500
Os1 Os 0.000 0.500 0.000
S1 S 0.046 0.255 0.818
S2 S 0.238 0.500 0.320
```

Main lines, most intense first (2θ = 10–90°):
two_theta	intensity
25.31	100
26.14	94
36.14	82
24.21	48
26.42	44
37.27	33
42.75	30
45.96	29
44.32	29
46.27	25

11.
The following is a computed X-ray powder pattern of Ba2InPd4Pb. It was derived from a crystal structure in OQMD, relaxed with PBE, using copper Kα.

Structural model:
```
data_Ba2InPd4Pb
_chemical_formula_sum 'Ba2 In1 Pd4 Pb1'
_cell_length_a 4.7263
_cell_length_b 4.7263
_cell_length_c 11.0250
_cell_angle_alpha 90.00
_cell_angle_beta 90.00
_cell_angle_gamma 120.00
_space_group_name_H-M_alt 'P -3 m 1'
_space_group_IT_number 164
_space_group_name_Hall '-P 3 2"'
loop_
_atom_site_label
_atom_site_type_symbol
_atom_site_fract_x
_atom_site_fract_y
_atom_site_fract_z
Ba1 Ba 0.3333 0.6667 0.2510
In1 In 0.0000 0.0000 0.5000
Pd1 Pd 0.3333 0.6667 0.5435
Pd2 Pd 0.3333 0.6667 0.9522
Pb1 Pb 0.0000 0.0000 0.0000
```

Main lines, most intense first (2θ = 10–90°):
two_theta	intensity
38.08	100
32.75	79
16.08	49
50.90	48
27.13	34
32.48	29
41.58	27
51.08	22
65.46	21
68.81	17

12.
The following is a computed X-ray powder pattern of BaInPd2. It was derived from a crystal structure in OQMD, relaxed with PBE, using copper Kα.

Structural model:
```
data_BaInPd2
_chemical_formula_sum 'Ba2 In2 Pd4'
_cell_length_a 4.670
_cell_length_b 7.359
_cell_length_c 6.131
_cell_angle_alpha 90.00
_cell_angle_beta 90.00
_cell_angle_gamma 90.00
_space_group_name_H-M_alt 'P m m n'
_space_group_IT_number 59
loop_
_space_group_symop_operation_xyz
'x,y,z'
'-x,-y,-z'
'-x+1/2,-y+1/2,z'
'x+1/2,y+1/2,-z'
'x+1/2,-y,-z'
'-x+1/2,y,z'
'-x,y+1/2,-z'
'x,-y+1/2,z'
loop_
_atom_site_label
_atom_site_type_symbol
_atom_site_fract_x
_atom_site_fract_y
_atom_site_fract_z
Ba1 Ba 0.250 0.250 0.145
In1 In 0.250 0.750 0.358
Pd1 Pd 0.250 0.055 0.624
```

Main lines, most intense first (2θ = 10–90°):
two_theta	intensity
34.30	100
31.62	64
14.45	47
44.25	43
38.56	40
50.69	33
35.02	26
62.40	22
26.88	20
83.87	16

13.
The following is a computed X-ray powder pattern of BaSrIn2Pd4. It was derived from a crystal structure in OQMD, relaxed with PBE, using copper Kα.

Structural model:
```
data_BaSrIn2Pd4
_chemical_formula_sum 'Ba1 Sr1 In2 Pd4'
_cell_length_a 4.6790
_cell_length_b 4.6790
_cell_length_c 10.1400
_cell_angle_alpha 90.00
_cell_angle_beta 90.00
_cell_angle_gamma 120.00
_space_group_name_H-M_alt 'P -6 m 2'
_space_group_IT_number 187
_space_group_name_Hall 'P -6 2'
loop_
_atom_site_label
_atom_site_type_symbol
_atom_site_fract_x
_atom_site_fract_y
_atom_site_fract_z
Ba1 Ba 0.0000 0.0000 0.0000
Sr1 Sr 0.6667 0.3333 0.5000
In1 In 0.3333 0.6667 0.2624
Pd1 Pd 0.0000 0.0000 0.3219
Pd2 Pd 0.6667 0.3333 0.2038
```

Main lines, most intense first (2θ = 10–90°):
two_theta	intensity
38.48	100
34.56	92
17.49	34
52.67	27
67.09	26
28.19	23
53.28	22
42.56	20
69.61	17
59.24	15